(1)
Diffraction record for Ca2Sm4Sn3O2. The powder diffractogram is calculated, not measured: it uses a cell relaxed with GGA-PBE and copper Kα.

Crystal structure
Lattice parameters (Å, degrees): 13.0533 13.0533 13.0533 158.66 158.66 30.36
Element x y z (fractional)
Ca  0.1965  0.1965  0.0000
Ca  0.8035  0.8035  0.0000
Sm  0.0866  0.5866  0.5000
Sm  0.4134  0.9134  0.5000
Sm  0.5866  0.0866  0.5000
Sm  0.9134  0.4134  0.5000
Sn  0.3261  0.3261  0.0000
Sn  0.5000  0.5000  0.0000
Sn  0.6739  0.6739  0.0000
O  0.0983  0.0983  0.0000
O  0.9017  0.9017  0.0000

Largest 10 diffraction maxima, in order of falling intensity, 15° ≤ 2θ ≤ 90°:
Position (°2θ), I (rel.)
33.81, 100
37.20, 51
64.92, 31
27.03, 24
29.74, 21
53.62, 18
58.20, 18
18.69, 14
25.53, 12
52.46, 12


(2)
Diffraction record for CaSm2TlO6. The powder diffractogram is calculated, not measured: it uses a cell relaxed with GGA-PBE and copper Kα.

Crystal structure
Lattice parameters (Å, degrees): 6.2018 6.2018 6.2018 57.12 57.12 57.12
Element x y z (fractional)
Ca  0.0000  0.0000  0.0000
Sm  0.2182  0.2182  0.2182
Sm  0.7186  0.7186  0.7186
Tl  0.5035  0.5035  0.5035
O  0.1226  0.3967  0.8072
O  0.3227  0.8977  0.6072
O  0.3967  0.8072  0.1226
O  0.6072  0.3227  0.8977
O  0.8072  0.1226  0.3967
O  0.8977  0.6072  0.3227

Largest 10 diffraction maxima, in order of falling intensity, 15° ≤ 2θ ≤ 90°:
Position (°2θ), I (rel.)
28.85, 100
30.14, 96
42.21, 42
52.73, 42
46.61, 33
18.20, 33
53.53, 29
20.74, 21
34.88, 17
70.42, 15


(3)
Diffraction record for CaSm4Tm4O12. The powder diffractogram is calculated, not measured: it uses a cell relaxed with GGA-PBE and copper Kα.

Crystal structure
Lattice parameters (Å, degrees): 5.9040 6.1329 9.4413 82.81 78.86 81.13
Element x y z (fractional)
Ca  0.0000  0.0000  0.0000
Sm  0.0875  0.1639  0.6035
Sm  0.1654  0.3560  0.1699
Sm  0.5611  0.7110  0.0179
Sm  0.6142  0.6922  0.5942
Tm  0.0875  0.6243  0.7944
Tm  0.1029  0.8311  0.3639
Tm  0.5296  0.1970  0.8120
Tm  0.6134  0.2766  0.3818
O  0.2157  0.7838  0.5773
O  0.2992  0.1269  0.3679
O  0.3693  0.0544  0.0370
O  0.3696  0.4911  0.9175
O  0.3856  0.5838  0.2481
O  0.4123  0.3570  0.6103
O  0.7914  0.0028  0.5099
O  0.8089  0.9230  0.8201
O  0.8307  0.4320  0.7443
O  0.8669  0.5322  0.4053
O  0.8935  0.1148  0.2205
O  0.9354  0.6335  0.0438

Largest 10 diffraction maxima, in order of falling intensity, 15° ≤ 2θ ≤ 90°:
Position (°2θ), I (rel.)
29.11, 100
30.67, 89
31.66, 74
31.16, 65
39.46, 45
30.84, 44
24.66, 40
30.27, 39
38.29, 34
51.06, 33


(4)
Diffraction record for CaSm4Tm4O12. The powder diffractogram is calculated, not measured: it uses a cell relaxed with GGA-PBE and copper Kα.

Crystal structure
Lattice parameters (Å, degrees): 5.8757 6.1241 9.3225 86.05 78.99 83.68
Element x y z (fractional)
Ca  0.0000  0.0000  0.0000
Sm  0.0430  0.8331  0.3392
Sm  0.0912  0.5683  0.8398
Sm  0.5191  0.1691  0.8360
Sm  0.5926  0.2969  0.4106
Tm  0.0885  0.1494  0.6274
Tm  0.1818  0.3320  0.1774
Tm  0.5731  0.6996  0.0802
Tm  0.6349  0.6929  0.6527
O  0.2544  0.1236  0.3988
O  0.2924  0.8865  0.7405
O  0.3518  0.0058  0.0804
O  0.3658  0.5606  0.2790
O  0.3714  0.3974  0.6454
O  0.4190  0.4709  0.9774
O  0.7602  0.8352  0.8593
O  0.7986  0.9993  0.5553
O  0.8031  0.5757  0.4400
O  0.8357  0.4043  0.7343
O  0.8685  0.1354  0.2245
O  0.9503  0.6447  0.1070

Largest 10 diffraction maxima, in order of falling intensity, 15° ≤ 2θ ≤ 90°:
Position (°2θ), I (rel.)
30.59, 100
31.18, 77
28.28, 66
25.50, 35
32.67, 34
38.89, 25
51.50, 24
40.47, 23
39.41, 20
29.38, 17


(5)
Diffraction record for CaSm4Tm4O12. The powder diffractogram is calculated, not measured: it uses a cell relaxed with GGA-PBE and copper Kα.

Crystal structure
Lattice parameters (Å, degrees): 5.8720 8.5435 6.1539 90.00 90.78 90.00
Element x y z (fractional)
Ca  0.0000  0.0000  0.0000
Sm  0.0723  0.5000  0.8012
Sm  0.1703  0.0000  0.5721
Sm  0.5212  0.0000  0.1870
Sm  0.6303  0.5000  0.3176
Tm  0.1053  0.2809  0.2588
Tm  0.1053  0.7191  0.2588
Tm  0.5864  0.2554  0.7555
Tm  0.5864  0.7446  0.7555
O  0.2568  0.5000  0.1781
O  0.2661  0.1916  0.9339
O  0.2661  0.8084  0.9339
O  0.4150  0.2018  0.4399
O  0.4150  0.7982  0.4399
O  0.4473  0.5000  0.6833
O  0.6647  0.0000  0.8247
O  0.8036  0.3280  0.0478
O  0.8036  0.6720  0.0478
O  0.8800  0.0000  0.3428
O  0.8939  0.3347  0.5476
O  0.8939  0.6653  0.5476

Largest 10 diffraction maxima, in order of falling intensity, 15° ≤ 2θ ≤ 90°:
Position (°2θ), I (rel.)
29.76, 100
29.56, 87
30.45, 41
42.30, 41
29.02, 28
53.81, 19
53.02, 18
52.10, 18
30.89, 17
51.65, 14